Record 1
This entry pairs a crystal structure of Sm2GaPd5 with its theoretical powder diffraction line list. Radiation: Cu Kα X-rays. Structure: a GGA-PBE-relaxed structure.
Kinematic intensities with the Lorentz-polarization factor, no thermal factor.

Most intense lines, 10° ≤ 2θ ≤ 80°, sorted by position:
2θ = 30.08°, I 16.9
2θ = 34.16°, I 9.0
2θ = 36.52°, I 100.0
2θ = 41.13°, I 44.6
2θ = 44.91°, I 14.8
2θ = 59.58°, I 13.4
2θ = 62.52°, I 19.7
2θ = 71.94°, I 23.5
2θ = 77.29°, I 14.0
2θ = 77.61°, I 9.4

Crystal structure
Unit cell a=5.9631 b=5.9631 c=5.9631 alpha=117.28 beta=117.28 gamma=94.79
Fractional positions:
Sm (0.0000, 0.5000, 0.5000)
Sm (0.5000, 0.0000, 0.5000)
Ga (0.3285, 0.3285, 0.0000)
Pd (0.0028, 0.0028, 0.0000)
Pd (0.5194, 0.5194, 0.5497)
Pd (0.5194, 0.9697, 0.0000)
Pd (0.9697, 0.5194, 0.0000)
Pd (0.9697, 0.9697, 0.4503)

Record 2
This entry pairs a crystal structure of SrSmGa2Pd2 with its theoretical powder diffraction line list. Radiation: Cu Kα X-rays. Structure: a GGA-PBE-relaxed structure.
Kinematic intensities with the Lorentz-polarization factor, no thermal factor.

Most intense lines, 10° ≤ 2θ ≤ 80°, sorted by position:
2θ = 11.30°, I 21.8
2θ = 32.37°, I 100.0
2θ = 39.98°, I 61.3
2θ = 41.64°, I 14.4
2θ = 46.40°, I 10.6
2θ = 52.34°, I 28.0
2θ = 62.86°, I 20.9
2θ = 67.84°, I 24.3
2θ = 72.61°, I 10.3
2θ = 73.66°, I 10.6

Crystal structure
Unit cell a=4.5103 b=4.5103 c=7.8310 alpha=90.00 beta=90.00 gamma=120.00
Fractional positions:
Sr (0.0000, 0.0000, 0.0000)
Sm (0.0000, 0.0000, 0.5000)
Ga (0.3333, 0.6667, 0.2787)
Ga (0.6667, 0.3333, 0.7213)
Pd (0.3333, 0.6667, 0.7147)
Pd (0.6667, 0.3333, 0.2853)

Record 3
This entry pairs a crystal structure of SmZnGaPd2 with its theoretical powder diffraction line list. Radiation: Cu Kα X-rays. Structure: a GGA-PBE-relaxed structure.
Kinematic intensities with the Lorentz-polarization factor, no thermal factor.

Most intense lines, 10° ≤ 2θ ≤ 80°, sorted by position:
2θ = 30.85°, I 95.8
2θ = 33.72°, I 47.2
2θ = 34.75°, I 73.7
2θ = 36.45°, I 24.3
2θ = 36.85°, I 18.9
2θ = 41.52°, I 100.0
2θ = 46.82°, I 26.3
2θ = 47.09°, I 30.3
2θ = 63.45°, I 17.8
2θ = 65.64°, I 28.1

Crystal structure
Unit cell a=7.0986 b=7.0986 c=5.6134 alpha=90.00 beta=90.00 gamma=136.02
Fractional positions:
Sm (0.2500, 0.7500, 0.7717)
Sm (0.7500, 0.2500, 0.2283)
Zn (0.0000, 0.0000, 0.0000)
Zn (0.5000, 0.5000, 0.0000)
Ga (0.2500, 0.2500, 0.5000)
Ga (0.7500, 0.7500, 0.5000)
Pd (0.1451, 0.8549, 0.2940)
Pd (0.3549, 0.6451, 0.2940)
Pd (0.6451, 0.3549, 0.7060)
Pd (0.8549, 0.1451, 0.7060)

Record 4
This entry pairs a crystal structure of SmZnGa2Pd with its theoretical powder diffraction line list. Radiation: Cu Kα X-rays. Structure: a GGA-PBE-relaxed structure.
Kinematic intensities with the Lorentz-polarization factor, no thermal factor.

Most intense lines, 10° ≤ 2θ ≤ 80°, sorted by position:
2θ = 33.10°, I 54.1
2θ = 34.38°, I 100.0
2θ = 42.59°, I 52.8
2θ = 45.83°, I 11.2
2θ = 48.21°, I 25.0
2θ = 54.98°, I 25.3
2θ = 61.14°, I 13.0
2θ = 61.81°, I 17.1
2θ = 66.26°, I 19.0
2θ = 72.69°, I 21.8

Crystal structure
Unit cell a=6.0637 b=6.0637 c=6.0637 alpha=139.02 beta=139.02 gamma=59.34
Fractional positions:
Sm (0.0000, 0.0000, 0.0000)
Zn (0.2500, 0.7500, 0.5000)
Ga (0.3827, 0.3827, 0.0000)
Ga (0.6173, 0.6173, 0.0000)
Pd (0.7500, 0.2500, 0.5000)

Record 5
This entry pairs a crystal structure of Ga2Sn3Pd8 with its theoretical powder diffraction line list. Radiation: Cu Kα X-rays. Structure: a GGA-PBE-relaxed structure.
Kinematic intensities with the Lorentz-polarization factor, no thermal factor.

Most intense lines, 10° ≤ 2θ ≤ 80°, sorted by position:
2θ = 33.01°, I 53.4
2θ = 37.33°, I 29.0
2θ = 38.36°, I 37.4
2θ = 38.86°, I 100.0
2θ = 40.23°, I 69.7
2θ = 40.48°, I 49.9
2θ = 41.67°, I 57.0
2θ = 44.26°, I 28.8
2θ = 63.86°, I 35.9
2θ = 69.25°, I 44.7

Crystal structure
Unit cell a=9.8623 b=9.8623 c=9.8623 alpha=31.94 beta=31.94 gamma=31.94
Fractional positions:
Ga (0.1278, 0.1278, 0.1278)
Ga (0.8722, 0.8722, 0.8722)
Sn (0.3077, 0.3077, 0.3077)
Sn (0.5000, 0.5000, 0.5000)
Sn (0.6923, 0.6923, 0.6923)
Pd (0.2138, 0.2138, 0.2138)
Pd (0.2251, 0.2251, 0.7224)
Pd (0.2251, 0.7224, 0.2251)
Pd (0.2776, 0.7749, 0.7749)
Pd (0.7224, 0.2251, 0.2251)
Pd (0.7749, 0.2776, 0.7749)
Pd (0.7749, 0.7749, 0.2776)
Pd (0.7862, 0.7862, 0.7862)

Record 6
This entry pairs a crystal structure of Ga2SnPd9 with its theoretical powder diffraction line list. Radiation: Cu Kα X-rays. Structure: a GGA-PBE-relaxed structure.
Kinematic intensities with the Lorentz-polarization factor, no thermal factor.

Most intense lines, 10° ≤ 2θ ≤ 80°, sorted by position:
2θ = 23.62°, I 0.6
2θ = 35.37°, I 0.9
2θ = 38.10°, I 0.5
2θ = 39.39°, I 100.0
2θ = 45.64°, I 33.0
2θ = 46.12°, I 15.4
2θ = 60.91°, I 0.7
2θ = 66.53°, I 10.5
2θ = 66.91°, I 19.9
2θ = 72.30°, I 0.6

Crystal structure
Unit cell a=3.9752 b=3.9752 c=11.8086 alpha=90.00 beta=90.00 gamma=90.00
Fractional positions:
Ga (0.0000, 0.0000, 0.1616)
Ga (0.0000, 0.0000, 0.8384)
Sn (0.0000, 0.0000, 0.5000)
Pd (0.0000, 0.5000, 0.0000)
Pd (0.0000, 0.5000, 0.3259)
Pd (0.0000, 0.5000, 0.6741)
Pd (0.5000, 0.0000, 0.0000)
Pd (0.5000, 0.0000, 0.3259)
Pd (0.5000, 0.0000, 0.6741)
Pd (0.5000, 0.5000, 0.1630)
Pd (0.5000, 0.5000, 0.5000)
Pd (0.5000, 0.5000, 0.8370)